NaCe2PdO5: simulated X-ray powder pattern (Cu Kα), based on a DFT-relaxed cell (GGA-PBE, Alexandria).
Kinematic intensities with the Lorentz-polarization factor, no thermal factor.

```
data_NaCe2PdO5
_chemical_formula_sum 'Na2 Ce4 Pd2 O10'
_cell_length_a 6.7159
_cell_length_b 6.7159
_cell_length_c 5.8414
_cell_angle_alpha 90.00
_cell_angle_beta 90.00
_cell_angle_gamma 90.00
_space_group_name_H-M_alt 'P 1'
_space_group_IT_number 1
_space_group_name_Hall 'P 1'
loop_
_atom_site_label
_atom_site_fract_x
_atom_site_fract_y
_atom_site_fract_z
_atom_site_occupancy
Na1 0.0000 0.0000 0.0000 1
Na2 0.5000 0.5000 0.0000 1
Ce1 0.1780 0.3220 0.5000 1
Ce2 0.3220 0.8220 0.5000 1
Ce3 0.6780 0.1780 0.5000 1
Ce4 0.8220 0.6780 0.5000 1
Pd1 0.0000 0.5000 0.0000 1
Pd2 0.5000 0.0000 0.0000 1
O1 0.0000 0.0000 0.5000 1
O2 0.1401 0.6401 0.2608 1
O3 0.1401 0.6401 0.7392 1
O4 0.3599 0.1401 0.2608 1
O5 0.3599 0.1401 0.7392 1
O6 0.5000 0.5000 0.5000 1
O7 0.6401 0.8599 0.2608 1
O8 0.6401 0.8599 0.7392 1
O9 0.8599 0.3599 0.2608 1
O10 0.8599 0.3599 0.7392 1
```

The 10 most intense peaks (5° ≤ 2θ ≤ 70°), sorted by position:
d [Å], I_rel
5.841, 46
4.749, 45
3.003, 27
2.921, 39
2.911, 100
2.671, 71
2.374, 23
2.094, 56
1.996, 39
1.569, 22

CrHgP: simulated X-ray powder pattern (Cu Kα), based on a DFT-relaxed cell (GGA-PBE, Alexandria).
Kinematic intensities with the Lorentz-polarization factor, no thermal factor.

```
data_CrHgP
_chemical_formula_sum 'Cr2 Hg2 P2'
_cell_length_a 2.9990
_cell_length_b 3.0060
_cell_length_c 11.7586
_cell_angle_alpha 90.00
_cell_angle_beta 96.98
_cell_angle_gamma 90.00
_space_group_name_H-M_alt 'P 1'
_space_group_IT_number 1
_space_group_name_Hall 'P 1'
loop_
_atom_site_label
_atom_site_fract_x
_atom_site_fract_y
_atom_site_fract_z
_atom_site_occupancy
Cr1 0.2188 0.2500 0.4304 1
Cr2 0.7812 0.7500 0.5696 1
Hg1 0.4383 0.2500 0.8851 1
Hg2 0.5617 0.7500 0.1149 1
P1 0.3233 0.2500 0.6530 1
P2 0.6767 0.7500 0.3470 1
```

The 10 most intense peaks (5° ≤ 2θ ≤ 70°), sorted by position:
d [Å], I_rel
11.671, 100
3.890, 14
2.974, 60
2.915, 70
2.672, 56
2.114, 28
1.968, 20
1.956, 19
1.936, 19
1.930, 19

Tb4SnHg3: simulated X-ray powder pattern (Cu Kα), based on a DFT-relaxed cell (GGA-PBE, Alexandria).
Kinematic intensities with the Lorentz-polarization factor, no thermal factor.

```
data_Tb4SnHg3
_chemical_formula_sum 'Tb8 Sn2 Hg6'
_cell_length_a 10.6040
_cell_length_b 7.4804
_cell_length_c 5.3025
_cell_angle_alpha 90.00
_cell_angle_beta 90.00
_cell_angle_gamma 90.00
_space_group_name_H-M_alt 'P 1'
_space_group_IT_number 1
_space_group_name_Hall 'P 1'
loop_
_atom_site_label
_atom_site_fract_x
_atom_site_fract_y
_atom_site_fract_z
_atom_site_occupancy
Tb1 0.0000 0.2484 0.0000 1
Tb2 0.0000 0.7516 0.0000 1
Tb3 0.2500 0.2484 0.4990 1
Tb4 0.2500 0.7516 0.4990 1
Tb5 0.5000 0.2484 0.0000 1
Tb6 0.5000 0.7516 0.0000 1
Tb7 0.7500 0.2484 0.5010 1
Tb8 0.7500 0.7516 0.5010 1
Sn1 0.0000 0.5000 0.5000 1
Sn2 0.5000 0.5000 0.5000 1
Hg1 0.0000 0.0000 0.5000 1
Hg2 0.2500 0.0000 0.9989 1
Hg3 0.2500 0.5000 0.9986 1
Hg4 0.5000 0.0000 0.5000 1
Hg5 0.7500 0.0000 0.0011 1
Hg6 0.7500 0.5000 0.0014 1
```

The 7 most intense peaks (5° ≤ 2θ ≤ 70°), sorted by position:
d [Å], I_rel
7.480, 1
5.302, 1
4.326, 1
2.649, 100
1.875, 12
1.870, 6
1.529, 38